# 1
Calculated XRD peak list
Compound: CeHfMg6O8
Radiation: Cu Kα (λ = 1.5418 Å)
Structure: a DFT-relaxed cell (PBE, the Materials Project)

Atomic structure:
```
16
Lattice="4.549 0.000 0.000 0.000 4.549 0.000 0.000 0.000 9.125" Properties=species:S:1:pos:R:3 pbc="T T T"
Ce 0.000 0.000 0.000
Hf 0.000 0.000 4.563
Mg 0.000 2.275 2.376
Mg 0.000 2.275 6.749
Mg 2.275 0.000 2.376
Mg 2.275 0.000 6.749
Mg 2.275 2.275 0.000
Mg 2.275 2.275 4.563
O 0.000 0.000 2.409
O 0.000 0.000 6.716
O 0.000 2.275 0.000
O 0.000 2.275 4.563
O 2.275 0.000 0.000
O 2.275 0.000 4.563
O 2.275 2.275 2.309
O 2.275 2.275 6.816
```

Top 6 peaks for 10° ≤ 2θ ≤ 90°, by angle:
19.49°, I 100
27.70°, I 86
34.10°, I 54
39.62°, I 57
49.00°, I 37
57.22°, I 53


# 2
Calculated XRD peak list
Compound: Mn3HgN
Radiation: Cu Kα (λ = 1.5418 Å)
Structure: a DFT-relaxed cell (PBE, the Materials Project)

Atomic structure:
```
5
Lattice="4.045 0.000 0.000 0.000 4.045 0.000 0.000 0.000 4.045" Properties=species:S:1:pos:R:3 pbc="T T T"
Mn 0.000 0.000 2.022
Mn 0.000 2.022 0.000
Mn 2.022 0.000 0.000
Hg 2.022 2.022 2.022
N 0.000 0.000 0.000
```

Top 6 peaks for 10° ≤ 2θ ≤ 90°, by angle:
21.98°, I 39
31.28°, I 52
38.55°, I 100
44.82°, I 56
65.25°, I 34
78.42°, I 36


# 3
Calculated XRD peak list
Compound: CsMg14Si
Radiation: Cu Kα (λ = 1.5418 Å)
Structure: a DFT-relaxed cell (PBE, the Materials Project)

Atomic structure:
```
16
Lattice="10.350 0.000 0.000 0.000 3.401 5.627 0.000 -3.401 5.627" Properties=species:S:1:pos:R:3 pbc="T T T"
Cs 0.000 0.000 0.000
Mg 0.000 -1.657 2.832
Mg 0.000 1.657 2.832
Mg 2.397 0.000 7.310
Mg 2.700 -1.582 4.522
Mg 2.700 1.582 4.522
Mg 2.854 0.000 1.810
Mg 5.175 0.000 5.475
Mg 5.175 -1.615 8.238
Mg 5.175 1.615 8.238
Mg 5.175 0.000 11.029
Mg 7.496 0.000 1.810
Mg 7.650 -1.582 4.522
Mg 7.650 1.582 4.522
Mg 7.953 0.000 7.310
Si 0.000 0.000 5.059
```

Top 6 peaks for 10° ≤ 2θ ≤ 90°, by angle:
17.48°, I 27
22.99°, I 21
30.71°, I 30
34.67°, I 35
35.38°, I 100
36.34°, I 47


# 4
Calculated XRD peak list
Compound: SmAl
Radiation: Cu Kα (λ = 1.5418 Å)
Structure: a DFT-relaxed cell (PBE, the Materials Project)

Atomic structure:
```
2
Lattice="3.677 0.000 0.000 0.000 3.677 0.000 0.000 0.000 3.677" Properties=species:S:1:pos:R:3 pbc="T T T"
Sm 0.000 0.000 0.000
Al 1.838 1.838 1.838
```

Top 6 peaks for 10° ≤ 2θ ≤ 90°, by angle:
24.21°, I 59
34.50°, I 100
42.59°, I 18
49.58°, I 18
55.92°, I 24
61.80°, I 37


# 5
Calculated XRD peak list
Compound: La3Ce4O12
Radiation: Cu Kα (λ = 1.5418 Å)
Structure: a DFT-relaxed cell (PBE, the Materials Project)

Atomic structure:
```
19
Lattice="14.300 -1.927 0.000 14.300 1.927 0.000 -1.065 0.000 5.530" Properties=species:S:1:pos:R:3 pbc="T T T"
La 0.000 0.000 0.000
La 11.709 0.000 2.621
La 15.826 0.000 2.909
Ce 4.163 0.000 0.909
Ce 7.872 0.000 1.579
Ce 19.662 0.000 3.951
Ce 23.371 0.000 4.621
O 1.825 0.000 1.616
O 5.088 0.000 5.359
O 5.689 0.000 2.607
O 9.373 0.000 3.336
O 10.298 0.000 0.594
O 13.668 0.000 1.317
O 13.866 0.000 4.213
O 17.236 0.000 4.935
O 18.161 0.000 2.194
O 21.845 0.000 2.922
O 22.446 0.000 0.171
O 25.709 0.000 3.914
```

Top 6 peaks for 10° ≤ 2θ ≤ 90°, by angle:
27.19°, I 50
27.40°, I 49
28.06°, I 100
32.21°, I 42
45.75°, I 32
46.01°, I 32